Calculated X-ray powder pattern
Compound: KPa6S8
Radiation: CuKα
Structure: DFT lattice parameters and positions (PBE)
Intensities are scaled so that the largest is 100.

Peak list (12 most intense, 15° ≤ 2θ ≤ 90°, by intensity)
two_theta  I_rel
29.28  100
39.93  72
37.51  62
26.88  55
16.43  35
26.20  25
36.39  23
45.93  21
61.47  20
40.27  20
76.08  19
42.78  18

Structure:
```
KPa6S8
1.0
5.228 3.018 4.480
-5.228 3.018 4.480
0.000 -6.037 4.480
K Pa S
1 6 8
Direct
0.000 0.000 0.000 K
0.217 0.605 0.436 Pa
0.395 0.564 0.783 Pa
0.436 0.217 0.605 Pa
0.564 0.783 0.395 Pa
0.605 0.436 0.217 Pa
0.783 0.395 0.564 Pa
0.101 0.370 0.724 S
0.276 0.899 0.630 S
0.284 0.284 0.284 S
0.370 0.724 0.101 S
0.630 0.276 0.899 S
0.716 0.716 0.716 S
0.724 0.101 0.370 S
0.899 0.630 0.276 S
```

---

Calculated X-ray powder pattern
Compound: YNp3
Radiation: CuKα
Structure: DFT lattice parameters and positions (PBE)
Intensities are scaled so that the largest is 100.

Peak list (12 most intense, 15° ≤ 2θ ≤ 90°, by intensity)
two_theta  I_rel
33.76  100
39.18  50
67.56  42
56.61  35
71.00  12
21.61  9
84.22  6
45.18  3
19.30  3
35.18  3
53.66  3
27.43  3

Structure:
```
YNp3
1.0
-2.299 2.299 4.599
2.299 -2.299 4.599
2.299 2.299 -4.599
Y Np
1 3
Direct
0.000 0.000 0.000 Y
0.250 0.750 0.500 Np
0.500 0.500 0.000 Np
0.750 0.250 0.500 Np
```

---

Calculated X-ray powder pattern
Compound: NaNdNb4O12
Radiation: CuKα
Structure: DFT lattice parameters and positions (PBE)
Intensities are scaled so that the largest is 100.

Peak list (12 most intense, 15° ≤ 2θ ≤ 90°, by intensity)
two_theta  I_rel
31.81  100
32.17  56
19.40  45
57.13  44
22.60  42
46.14  38
22.09  24
66.48  23
56.45  23
45.07  22
15.93  18
37.84  16

Structure:
```
NaNdNb4O12
1.0
3.933 -3.936 0.000
3.933 3.936 0.000
0.000 0.000 8.046
Na Nd Nb O
1 1 4 12
Direct
0.000 0.000 0.000 Na
0.500 0.500 0.500 Nd
0.000 0.500 0.245 Nb
0.000 0.500 0.755 Nb
0.500 0.000 0.245 Nb
0.500 0.000 0.755 Nb
0.000 0.500 0.000 O
0.000 0.500 0.500 O
0.210 0.210 0.250 O
0.210 0.210 0.750 O
0.301 0.699 0.266 O
0.301 0.699 0.734 O
0.500 0.000 0.000 O
0.500 0.000 0.500 O
0.699 0.301 0.266 O
0.699 0.301 0.734 O
0.790 0.790 0.250 O
0.790 0.790 0.750 O
```